Computed PXRD pattern of Na3AcAu8 for Cu Kα X-rays, from a structure optimized by DFT (GGA-PBE).

```
data_Na3AcAu8
_cell_length_a 5.5988
_cell_length_b 5.5988
_cell_length_c 9.7071
_cell_angle_alpha 90.00
_cell_angle_beta 90.00
_cell_angle_gamma 120.00
_space_group_name_H-M_alt 'P 3 m 1'
_space_group_IT_number 156
loop_
_space_group_symop_operation_xyz
'x,y,z'
'-y,x-y,z'
'-x+y,-x,z'
'-y,-x,z'
'-x+y,y,z'
'x,x-y,z'
loop_
_atom_site_label
_atom_site_fract_x
_atom_site_fract_y
_atom_site_fract_z
Na1 0.0000 0.0000 0.0000
Na2 0.0000 0.0000 0.3428
Na3 0.3333 0.6667 0.9063
Ac1 0.3333 0.6667 0.5111
Au1 0.0023 0.5011 0.1961
Au2 0.3293 0.1647 0.7028
Au3 0.6667 0.3333 0.4462
Au4 0.6667 0.3333 0.9489
```

Most intense lines, 15 to 90 degrees two-theta, by angle:
Position (°2θ)  intensity
18.3  623
20.5  287
33.3  342
37.1  1000
38.3  795
41.6  576

=====

Computed PXRD pattern of Na3Ac2Au4 for Cu Kα X-rays, from a structure optimized by DFT (GGA-PBE).

```
data_Na3Ac2Au4
_cell_length_a 6.3101
_cell_length_b 16.8395
_cell_length_c 9.0570
_cell_angle_alpha 90.00
_cell_angle_beta 90.00
_cell_angle_gamma 90.00
_space_group_name_H-M_alt 'C m c e'
_space_group_IT_number 64
_space_group_name_Hall '-C 2ac 2'
loop_
_atom_site_label
_atom_site_fract_x
_atom_site_fract_y
_atom_site_fract_z
Na1 0.0000 0.0000 0.0000
Na2 0.2500 0.1971 0.2500
Ac1 0.0000 0.1183 0.5956
Au1 0.0000 0.1883 0.9355
Au2 0.2500 0.0268 0.2500
```

Most intense lines, 15 to 90 degrees two-theta, by angle:
Position (°2θ)  intensity
22.3  634
29.0  818
31.5  817
31.7  1000
31.9  688
34.7  720

=====

Computed PXRD pattern of AcNd2Au6 for Cu Kα X-rays, from a structure optimized by DFT (GGA-PBE).

```
data_AcNd2Au6
_cell_length_a 8.2932
_cell_length_b 8.2932
_cell_length_c 3.7305
_cell_angle_alpha 90.00
_cell_angle_beta 90.00
_cell_angle_gamma 120.00
_space_group_name_H-M_alt 'P 6/m m m'
_space_group_IT_number 191
_space_group_name_Hall '-P 6 2'
loop_
_atom_site_label
_atom_site_fract_x
_atom_site_fract_y
_atom_site_fract_z
Ac1 0.0000 0.0000 0.0000
Nd1 0.3333 0.6667 0.0000
Au1 0.0000 0.3354 0.5000
```

Most intense lines, 15 to 90 degrees two-theta, by angle:
Position (°2θ)  intensity
32.3  1000
37.6  792
45.0  155
50.4  292
63.2  353
64.5  280

=====

Computed PXRD pattern of Ac7NiAu4 for Cu Kα X-rays, from a structure optimized by DFT (GGA-PBE).

```
data_Ac7NiAu4
_cell_length_a 14.4493
_cell_length_b 4.2989
_cell_length_c 14.3219
_cell_angle_alpha 90.00
_cell_angle_beta 108.93
_cell_angle_gamma 90.00
_space_group_name_H-M_alt 'C 1 m 1'
_space_group_IT_number 8
loop_
_space_group_symop_operation_xyz
'x,y,z'
'x,-y,z'
'x+1/2,y+1/2,z'
'x+1/2,-y+1/2,z'
loop_
_atom_site_label
_atom_site_fract_x
_atom_site_fract_y
_atom_site_fract_z
Ac1 0.0000 0.0000 0.0000
Ac2 0.0201 0.5000 0.2596
Ac3 0.1493 0.0000 0.5441
Ac4 0.2399 0.0000 0.8422
Ac5 0.2726 0.5000 0.1102
Ac6 0.3108 0.5000 0.4001
Ac7 0.4536 0.0000 0.6820
Ni1 0.3844 0.0000 0.0496
Au1 0.1038 0.5000 0.9002
Au2 0.1778 0.0000 0.2345
Au3 0.2919 0.5000 0.6905
Au4 0.4793 0.0000 0.4681
```

Most intense lines, 15 to 90 degrees two-theta, by angle:
Position (°2θ)  intensity
25.3  674
27.0  922
28.5  794
28.7  1000
31.0  628
42.0  671

=====

Computed PXRD pattern of Ac4Ni2Au5 for Cu Kα X-rays, from a structure optimized by DFT (GGA-PBE).

```
data_Ac4Ni2Au5
_cell_length_a 7.5783
_cell_length_b 4.2146
_cell_length_c 9.0347
_cell_angle_alpha 90.00
_cell_angle_beta 90.87
_cell_angle_gamma 90.00
_space_group_name_H-M_alt 'P 1 2/m 1'
_space_group_IT_number 10
loop_
_space_group_symop_operation_xyz
'x,y,z'
'-x,-y,-z'
'-x,y,-z'
'x,-y,z'
loop_
_atom_site_label
_atom_site_fract_x
_atom_site_fract_y
_atom_site_fract_z
Ac1 0.2218 0.0000 0.1409
Ac2 0.2455 0.0000 0.6135
Ni1 0.0563 0.5000 0.3786
Au1 0.1290 0.5000 0.8718
Au2 0.4071 0.5000 0.3600
Au3 0.5000 0.5000 0.0000
```

Most intense lines, 15 to 90 degrees two-theta, by angle:
Position (°2θ)  intensity
31.2  1000
31.5  681
31.8  832
40.7  310
42.9  362
60.6  316

=====

Computed PXRD pattern of Ac4Ni2Au for Cu Kα X-rays, from a structure optimized by DFT (GGA-PBE).

```
data_Ac4Ni2Au
_cell_length_a 9.6366
_cell_length_b 9.7240
_cell_length_c 9.7348
_cell_angle_alpha 90.00
_cell_angle_beta 90.00
_cell_angle_gamma 90.00
_space_group_name_H-M_alt 'I 21 21 21'
_space_group_IT_number 24
loop_
_space_group_symop_operation_xyz
'x,y,z'
'-x,-y+1/2,z'
'x,-y,-z+1/2'
'-x,y+1/2,-z+1/2'
'x+1/2,y+1/2,z+1/2'
'-x+1/2,-y,z+1/2'
'x+1/2,-y+1/2,-z'
'-x+1/2,y,-z'
loop_
_atom_site_label
_atom_site_fract_x
_atom_site_fract_y
_atom_site_fract_z
Ac1 0.0413 0.0007 0.4388
Ac2 0.2085 0.3110 0.7507
Ni1 0.0000 0.2500 0.2492
Ni2 0.2500 0.4992 0.5000
Au1 0.1238 0.0000 0.7500
```

Most intense lines, 15 to 90 degrees two-theta, by angle:
Position (°2θ)  intensity
25.9  463
26.0  775
29.1  712
29.3  845
34.5  1000
43.7  398

=====

Computed PXRD pattern of AcNiAu for Cu Kα X-rays, from a structure optimized by DFT (GGA-PBE).

```
data_AcNiAu
_cell_length_a 4.2606
_cell_length_b 4.2606
_cell_length_c 16.0716
_cell_angle_alpha 90.00
_cell_angle_beta 90.00
_cell_angle_gamma 90.00
_space_group_name_H-M_alt 'I -4 m 2'
_space_group_IT_number 119
_space_group_name_Hall 'I -4 -2'
loop_
_atom_site_label
_atom_site_fract_x
_atom_site_fract_y
_atom_site_fract_z
Ac1 0.0000 0.0000 0.0000
Ac2 0.0000 0.5000 0.2500
Ni1 0.0000 0.0000 0.4284
Au1 0.0000 0.5000 0.6611
```

Most intense lines, 15 to 90 degrees two-theta, by angle:
Position (°2θ)  intensity
26.7  334
31.7  1000
35.0  710
42.4  442
44.8  305
56.1  373

=====

Computed PXRD pattern of AcAu7O12 for Cu Kα X-rays, from a structure optimized by DFT (GGA-PBE).

```
data_AcAu7O12
_cell_length_a 8.1088
_cell_length_b 8.1088
_cell_length_c 8.1088
_cell_angle_alpha 90.00
_cell_angle_beta 90.00
_cell_angle_gamma 90.00
_space_group_name_H-M_alt 'I m -3'
_space_group_IT_number 204
_space_group_name_Hall '-I 2 2 3'
loop_
_atom_site_label
_atom_site_fract_x
_atom_site_fract_y
_atom_site_fract_z
Ac1 0.0000 0.0000 0.0000
Au1 0.0000 0.0000 0.5000
Au2 0.2500 0.2500 0.2500
O1 0.0000 0.3059 0.1642
```

Most intense lines, 15 to 90 degrees two-theta, by angle:
Position (°2θ)  intensity
31.2  1000
44.7  214
55.5  457
65.1  132
73.9  186
82.4  48

=====

Computed PXRD pattern of Ac6Au3O14 for Cu Kα X-rays, from a structure optimized by DFT (GGA-PBE).

```
data_Ac6Au3O14
_cell_length_a 8.9668
_cell_length_b 8.9668
_cell_length_c 5.7624
_cell_angle_alpha 90.00
_cell_angle_beta 90.00
_cell_angle_gamma 120.00
_space_group_name_H-M_alt 'P 3'
_space_group_IT_number 143
loop_
_space_group_symop_operation_xyz
'x,y,z'
'-y,x-y,z'
'-x+y,-x,z'
loop_
_atom_site_label
_atom_site_fract_x
_atom_site_fract_y
_atom_site_fract_z
Ac1 0.0425 0.4484 0.0000
Ac2 0.2878 0.2252 0.5208
Au1 0.0000 0.0000 0.0481
Au2 0.3333 0.6667 0.5319
Au3 0.6667 0.3333 0.7541
O1 0.0000 0.0000 0.6899
O2 0.0550 0.2259 0.2731
O3 0.1764 0.7375 0.7719
O4 0.3333 0.6667 0.1800
O5 0.4447 0.2629 0.9454
O6 0.5096 0.1140 0.5640
```

Most intense lines, 15 to 90 degrees two-theta, by angle:
Position (°2θ)  intensity
25.2  565
27.7  1000
30.5  366
34.3  236
44.0  270
44.9  232

=====

Computed PXRD pattern of Ac2PmAuO6 for Cu Kα X-rays, from a structure optimized by DFT (GGA-PBE).

```
data_Ac2PmAuO6
_cell_length_a 5.5350
_cell_length_b 5.5350
_cell_length_c 6.1019
_cell_angle_alpha 90.00
_cell_angle_beta 90.00
_cell_angle_gamma 90.00
_space_group_name_H-M_alt 'P 4 m m'
_space_group_IT_number 99
loop_
_space_group_symop_operation_xyz
'x,y,z'
'-y,x,z'
'-x,-y,z'
'y,-x,z'
'-x,y,z'
'y,x,z'
'x,-y,z'
'-y,-x,z'
loop_
_atom_site_label
_atom_site_fract_x
_atom_site_fract_y
_atom_site_fract_z
Ac1 0.0000 0.5000 0.0000
Pm1 0.0000 0.0000 0.5332
Au1 0.5000 0.5000 0.6827
O1 0.0000 0.0000 0.1594
O2 0.2460 0.2460 0.7273
O3 0.5000 0.5000 0.1245
```

Most intense lines, 15 to 90 degrees two-theta, by angle:
Position (°2θ)  intensity
27.1  1000
32.3  401
37.4  247
44.2  179
46.4  203
54.5  303

=====

Computed PXRD pattern of AcPtAu2O8 for Cu Kα X-rays, from a structure optimized by DFT (GGA-PBE).

```
data_AcPtAu2O8
_cell_length_a 7.2175
_cell_length_b 7.2175
_cell_length_c 7.0503
_cell_angle_alpha 90.00
_cell_angle_beta 90.00
_cell_angle_gamma 90.00
_space_group_name_H-M_alt 'I -4 m 2'
_space_group_IT_number 119
_space_group_name_Hall 'I -4 -2'
loop_
_atom_site_label
_atom_site_fract_x
_atom_site_fract_y
_atom_site_fract_z
Ac1 0.0000 0.0000 0.0000
Pt1 0.0000 0.5000 0.7500
Au1 0.0000 0.0000 0.5000
Au2 0.0000 0.5000 0.2500
O1 0.0000 0.2101 0.7121
O2 0.0000 0.3455 0.0152
```

Most intense lines, 15 to 90 degrees two-theta, by angle:
Position (°2θ)  intensity
24.7  1000
30.8  937
35.2  307
47.5  706
58.3  191
60.4  198

=====

Computed PXRD pattern of Ac2PtAu2O2 for Cu Kα X-rays, from a structure optimized by DFT (GGA-PBE).

```
data_Ac2PtAu2O2
_cell_length_a 5.2204
_cell_length_b 5.2204
_cell_length_c 7.7526
_cell_angle_alpha 90.00
_cell_angle_beta 90.00
_cell_angle_gamma 120.00
_space_group_name_H-M_alt 'P -3 m 1'
_space_group_IT_number 164
_space_group_name_Hall '-P 3 2"'
loop_
_atom_site_label
_atom_site_fract_x
_atom_site_fract_y
_atom_site_fract_z
Ac1 0.3333 0.6667 0.1893
Pt1 0.0000 0.0000 0.5000
Au1 0.0000 0.0000 0.1700
O1 0.3333 0.6667 0.9009
```

Most intense lines, 15 to 90 degrees two-theta, by angle:
Position (°2θ)  intensity
19.6  423
22.8  605
34.4  1000
34.7  286
40.2  209
49.6  636

=====

Computed PXRD pattern of RbAc2Au2O6 for Cu Kα X-rays, from a structure optimized by DFT (GGA-PBE).

```
data_RbAc2Au2O6
_cell_length_a 6.7841
_cell_length_b 6.8446
_cell_length_c 7.1780
_cell_angle_alpha 62.04
_cell_angle_beta 62.80
_cell_angle_gamma 67.56
_space_group_name_H-M_alt 'P -1'
_space_group_IT_number 2
loop_
_space_group_symop_operation_xyz
'x,y,z'
'-x,-y,-z'
loop_
_atom_site_label
_atom_site_fract_x
_atom_site_fract_y
_atom_site_fract_z
Rb1 0.0000 0.0000 0.0000
Ac1 0.0568 0.3233 0.3146
Au1 0.4758 0.7046 0.2494
O1 0.1870 0.6058 0.3191
O2 0.1912 0.3574 0.9030
O3 0.2307 0.9149 0.4198
```

Most intense lines, 15 to 90 degrees two-theta, by angle:
Position (°2θ)  intensity
16.2  891
26.3  791
27.8  479
28.0  1000
30.0  976
30.3  729